Entry 1:
Structure and computed powder diffractogram of Fe2O3 (a structure optimized by DFT (PBE+U); Cu Kα X-rays).
Kinematic intensities with the Lorentz-polarization factor, no thermal factor.

Peak list (6 most intense, 5 to 70 degrees two-theta, by angle)
two_theta  I_rel
23.48  4
33.45  100
41.27  8
48.03  44
54.13  1
59.79  35

Cell and atoms:
Lattice parameters (Å, degrees): 3.7885 3.7885 3.7885 90.00 90.00 90.00
Sites, in units of the cell vectors:
Fe1 0.0000 0.0000 0.0000
Fe2 0.5000 0.5000 0.5000
O1 0.0000 0.0000 0.5000
O2 0.0000 0.5000 0.0000
O3 0.5000 0.0000 0.0000



Entry 2:
Structure and computed powder diffractogram of Na4MgV4O10 (a structure optimized by DFT (PBE+U); Cu Kα X-rays).
Kinematic intensities with the Lorentz-polarization factor, no thermal factor.

Peak list (10 most intense, 5 to 70 degrees two-theta, by angle)
two_theta  I_rel
22.31  82
25.45  100
31.17  45
32.38  84
34.09  93
35.82  37
45.02  51
45.49  56
45.64  42
52.27  41

Cell and atoms:
Lattice parameters (Å, degrees): 5.5297 5.7388 8.0468 110.71 110.06 90.17
Sites, in units of the cell vectors:
Na1 0.0000 0.0000 0.0000
Na2 0.1796 0.1275 0.3901
Na3 0.5033 0.4515 0.0433
Na4 0.7143 0.7134 0.4321
Mg1 0.5297 0.1121 0.7179
V1 0.0905 0.5728 0.2190
V2 0.4377 0.6669 0.7156
V3 0.5875 0.0590 0.2122
V4 0.9288 0.4010 0.7140
O1 0.2690 0.7801 0.5134
O2 0.2806 0.3677 0.7173
O3 0.3187 0.3390 0.2258
O4 0.3208 0.8064 0.1710
O5 0.4747 0.9811 0.9216
O6 0.6660 0.1443 0.5137
O7 0.7851 0.7003 0.7165
O8 0.8356 0.3201 0.2662
O9 0.8386 0.7984 0.2065
O10 0.8721 0.3512 0.9202



Entry 3:
Structure and computed powder diffractogram of Li5Mn3O8 (a structure optimized by DFT (PBE+U); Cu Kα X-rays).
Kinematic intensities with the Lorentz-polarization factor, no thermal factor.

Peak list (10 most intense, 5 to 70 degrees two-theta, by angle)
two_theta  I_rel
14.93  16
18.38  100
26.49  10
35.27  13
36.11  13
36.57  12
42.51  34
43.96  31
44.33  30
62.65  17

Cell and atoms:
Lattice parameters (Å, degrees): 5.0010 5.0848 11.8699 91.10 91.04 108.28
Sites, in units of the cell vectors:
Li1 0.0000 0.0000 0.0000
Li2 0.0000 0.0000 0.5000
Li3 0.0045 0.0016 0.2501
Li4 0.4965 0.4955 0.7502
Li5 0.4969 0.9951 0.3757
Li6 0.4975 0.9959 0.8654
Li7 0.5025 0.0041 0.1346
Li8 0.5031 0.0049 0.6243
Li9 0.5035 0.5045 0.2498
Li10 0.9955 0.9984 0.7499
Mn1 0.0055 0.5015 0.3724
Mn2 0.0088 0.5084 0.1273
Mn3 0.5000 0.5000 0.0000
Mn4 0.5000 0.5000 0.5000
Mn5 0.9912 0.4916 0.8727
Mn6 0.9945 0.4985 0.6276
O1 0.2065 0.7213 0.7606
O2 0.2350 0.7483 0.2362
O3 0.2417 0.7175 0.0004
O4 0.2472 0.2755 0.8843
O5 0.2540 0.2815 0.6152
O6 0.2549 0.2750 0.3809
O7 0.2588 0.2860 0.1136
O8 0.2630 0.7337 0.4938
O9 0.7370 0.2663 0.5062
O10 0.7412 0.7140 0.8864
O11 0.7451 0.7250 0.6191
O12 0.7460 0.7185 0.3848
O13 0.7528 0.7245 0.1157
O14 0.7583 0.2825 0.9996
O15 0.7650 0.2517 0.7638
O16 0.7935 0.2787 0.2394



Entry 4:
Structure and computed powder diffractogram of Sr2CoO4 (a structure optimized by DFT (PBE+U); Cu Kα X-rays).
Kinematic intensities with the Lorentz-polarization factor, no thermal factor.

Peak list (10 most intense, 5 to 70 degrees two-theta, by angle)
two_theta  I_rel
31.34  66
31.58  64
32.43  100
43.63  19
43.83  35
46.15  29
46.87  27
55.40  19
57.00  27
57.47  24

Cell and atoms:
Lattice parameters (Å, degrees): 6.8098 7.8672 8.6928 116.88 97.07 106.82
Sites, in units of the cell vectors:
Sr1 0.0000 0.0000 0.0000
Sr2 0.9999 0.2488 0.4977
Sr3 0.0001 0.5069 0.0001
Sr4 0.5632 0.2115 0.1402
Sr5 0.5640 0.4600 0.6389
Sr6 0.5636 0.7176 0.1405
Sr7 0.5642 0.9682 0.6396
Sr8 0.9995 0.7554 0.4974
Co1 0.2812 0.2343 0.8213
Co2 0.2819 0.4815 0.3156
Co3 0.2827 0.7259 0.8033
Co4 0.2827 0.9831 0.3185
O1 0.2803 0.2243 0.3235
O2 0.2805 0.9777 0.8240
O3 0.2812 0.1041 0.5619
O4 0.2816 0.3582 0.0678
O5 0.2821 0.4947 0.8249
O6 0.2824 0.6085 0.5678
O7 0.2826 0.7478 0.3248
O8 0.2830 0.8685 0.0891
O9 0.5893 0.3465 0.8942
O10 0.5893 0.5986 0.3957
O11 0.6003 0.1042 0.4006
O12 0.5998 0.8590 0.9073
O13 0.9632 0.6172 0.7470
O14 0.9641 0.8639 0.2421
O15 0.9730 0.1172 0.7396
O16 0.9747 0.3702 0.2426



Entry 5:
Structure and computed powder diffractogram of Li3Co2Si2O8 (a structure optimized by DFT (PBE+U); Cu Kα X-rays).
Kinematic intensities with the Lorentz-polarization factor, no thermal factor.

Peak list (10 most intense, 5 to 70 degrees two-theta, by angle)
two_theta  I_rel
13.15  100
21.16  89
27.76  60
28.14  22
31.07  26
32.24  22
34.46  72
36.53  19
41.98  19
45.86  19

Cell and atoms:
Lattice parameters (Å, degrees): 5.2162 5.2162 6.7424 92.37 92.37 87.16
Sites, in units of the cell vectors:
Li1 0.0000 0.0000 0.0000
Li2 0.2417 0.4414 0.0496
Li3 0.5586 0.7583 0.9504
Co1 0.3319 0.6681 0.5000
Co2 0.9380 0.0620 0.5000
Si1 0.4569 0.1935 0.7502
Si2 0.8065 0.5431 0.2498
O1 0.3058 0.0542 0.5532
O2 0.3505 0.0864 0.9513
O3 0.4162 0.5067 0.7517
O4 0.4933 0.5838 0.2483
O5 0.7664 0.0991 0.7328
O6 0.9009 0.2336 0.2672
O7 0.9136 0.6495 0.0487
O8 0.9458 0.6942 0.4468



Entry 6:
Structure and computed powder diffractogram of MgZn2Co2O6 (a structure optimized by DFT (PBE+U); Cu Kα X-rays).
Kinematic intensities with the Lorentz-polarization factor, no thermal factor.

Peak list (10 most intense, 5 to 70 degrees two-theta, by angle)
two_theta  I_rel
22.01  19
33.67  65
34.28  46
34.71  100
35.62  52
36.87  51
48.42  27
49.37  24
49.75  19
60.94  19

Cell and atoms:
Lattice parameters (Å, degrees): 5.1785 5.1836 5.7381 113.14 92.45 118.10
Sites, in units of the cell vectors:
Mg1 0.0000 0.0000 0.0000
Zn1 0.2078 0.4029 0.5586
Zn2 0.3656 0.7277 0.0962
Co1 0.6046 0.1507 0.6694
Co2 0.7207 0.4886 0.2399
O1 0.0666 0.4687 0.2630
O2 0.3821 0.2885 0.9109
O3 0.4400 0.1875 0.3601
O4 0.5957 0.8655 0.7877
O5 0.8027 0.9053 0.3235
O6 0.9806 0.5573 0.8119